No. 1
The following is a calculated powder diffraction line list of Rb3Tl4Pt2. It was derived from a cell relaxed with GGA-PBE, using copper Kα.
Neutral-atom scattering factors, no anomalous dispersion.

The 10 most intense peaks (2θ = 5–70°), in order of falling intensity:
- 11.2°, I 100
- 28.4°, I 46
- 29.6°, I 27
- 29.3°, I 25
- 38.4°, I 21
- 9.8°, I 18
- 30.0°, I 17
- 44.8°, I 15
- 16.7°, I 14
- 39.8°, I 14

abc: 9.9762 9.9762 7.7724
angles: 104.63 104.63 67.16
Sites, in units of the cell vectors:
Rb1 0.0542 0.9458 0.7500
Rb2 0.2658 0.4856 0.8598
Rb3 0.4856 0.2658 0.3598
Rb4 0.5144 0.7342 0.6402
Rb5 0.7342 0.5144 0.1402
Rb6 0.9458 0.0542 0.2500
Tl1 0.0938 0.6196 0.3340
Tl2 0.1187 0.2676 0.0619
Tl3 0.2676 0.1187 0.5619
Tl4 0.3804 0.9062 0.1660
Tl5 0.6196 0.0938 0.8340
Tl6 0.7324 0.8813 0.4381
Tl7 0.8813 0.7324 0.9381
Tl8 0.9062 0.3804 0.6660
Pt1 0.0804 0.3629 0.4163
Pt2 0.3629 0.0804 0.9163
Pt3 0.6371 0.9196 0.0837
Pt4 0.9196 0.6371 0.5837

No. 2
The following is a calculated powder diffraction line list of CsRbS2. It was derived from a cell relaxed with GGA-PBE, using copper Kα.
Neutral-atom scattering factors, no anomalous dispersion.

The 10 most intense peaks (2θ = 5–70°), in order of falling intensity:
- 26.4°, I 100
- 26.1°, I 75
- 21.1°, I 67
- 25.5°, I 66
- 36.2°, I 57
- 34.2°, I 51
- 30.5°, I 48
- 43.4°, I 37
- 29.0°, I 32
- 45.3°, I 26

abc: 4.9904 4.9904 23.4485
angles: 90.00 90.00 90.00
Sites, in units of the cell vectors:
Cs1 0.1488 0.7000 0.0000
Cs2 0.3000 0.1488 0.2500
Cs3 0.7000 0.8512 0.7500
Cs4 0.8512 0.3000 0.5000
Rb1 0.1507 0.3245 0.8695
Rb2 0.3245 0.8493 0.6195
Rb3 0.6755 0.1507 0.1195
Rb4 0.8493 0.6755 0.3695
S1 0.0933 0.6508 0.1465
S2 0.1558 0.3498 0.7202
S3 0.3492 0.0933 0.3965
S4 0.3498 0.8442 0.4702
S5 0.6502 0.1558 0.9702
S6 0.6508 0.9067 0.8965
S7 0.8442 0.6502 0.2202
S8 0.9067 0.3492 0.6465

No. 3
The following is a calculated powder diffraction line list of Cs2SmCu2Se4. It was derived from a cell relaxed with GGA-PBE, using copper Kα.
Neutral-atom scattering factors, no anomalous dispersion.

The 10 most intense peaks (2θ = 5–70°), in order of falling intensity:
- 30.0°, I 100
- 32.2°, I 59
- 48.4°, I 46
- 28.0°, I 41
- 29.5°, I 38
- 11.0°, I 32
- 43.3°, I 31
- 22.0°, I 30
- 27.2°, I 25
- 36.0°, I 23

abc: 8.0545 8.0545 8.4863
angles: 107.26 107.26 30.06
Sites, in units of the cell vectors:
Cs1 0.1358 0.1358 0.0585
Cs2 0.8642 0.8642 0.9415
Sm1 0.0000 0.0000 0.5000
Cu1 0.3244 0.3244 0.5179
Cu2 0.6756 0.6756 0.4821
Se1 0.2000 0.2000 0.6498
Se2 0.4773 0.4773 0.7252
Se3 0.5227 0.5227 0.2748
Se4 0.8000 0.8000 0.3502

No. 4
The following is a calculated powder diffraction line list of MnNbCoHSe. It was derived from a cell relaxed with GGA-PBE, using copper Kα.
Neutral-atom scattering factors, no anomalous dispersion.

The 10 most intense peaks (2θ = 5–70°), in order of falling intensity:
- 39.7°, I 100
- 44.2°, I 61
- 45.1°, I 58
- 34.1°, I 31
- 35.2°, I 28
- 13.5°, I 25
- 55.8°, I 18
- 27.3°, I 15
- 58.8°, I 15
- 27.9°, I 14

abc: 6.9281 6.9281 6.9281
angles: 153.82 152.50 38.34
Sites, in units of the cell vectors:
Mn1 0.0000 0.0000 0.0000
Nb1 0.3693 0.3693 0.0000
Co1 0.5797 0.5797 0.0000
H1 0.0904 0.5904 0.5000
Se1 0.7624 0.7624 0.0000